Starting from a structure optimized by DFT (PBE), the powder diffractogram of Tb3HgTe2 was computed for λ = 1.5418 Å (Cu Kα).
Kinematic intensities with the Lorentz-polarization factor, no thermal factor.

Largest 8 diffraction maxima, in order of falling intensity, 2θ = 10–90°:
| 2θ (°) | I (rel.) |
| --- | --- |
| 28.95 | 100.0 |
| 41.39 | 50.9 |
| 67.94 | 23.4 |
| 50.78 | 14.0 |
| 51.82 | 13.3 |
| 40.79 | 13.2 |
| 59.98 | 12.7 |
| 42.02 | 12.2 |

Structure:
a = 14.302 Å, b = 13.639 Å, c = 7.594 Å
α = 79.11°, β = 69.47°, γ = 31.43°
Sites, in units of the cell vectors:
Tb 0.042 0.540 0.202
Tb 0.118 0.632 0.632
Tb 0.202 0.717 0.042
Tb 0.283 0.798 0.460
Tb 0.368 0.882 0.882
Tb 0.460 0.958 0.283
Tb 0.540 0.042 0.717
Tb 0.632 0.118 0.118
Tb 0.717 0.202 0.540
Tb 0.798 0.283 0.958
Tb 0.882 0.368 0.368
Tb 0.958 0.460 0.798
Hg 0.042 0.042 0.208
Hg 0.208 0.208 0.042
Hg 0.792 0.792 0.958
Hg 0.958 0.958 0.792
Te 0.127 0.127 0.623
Te 0.294 0.294 0.456
Te 0.377 0.377 0.873
Te 0.456 0.456 0.294
Te 0.544 0.544 0.706
Te 0.623 0.623 0.127
Te 0.706 0.706 0.544
Te 0.873 0.873 0.377